K2BiMoPO8: theoretical XRD peak list (Cu Kα X-rays), based on a cell relaxed with GGA+U.
No peak broadening, texture or thermal motion is included.

Principal peaks in the range 10 to 80 degrees two-theta, in order of rising 2θ:
| 2theta | I/Imax |
| --- | --- |
| 14.08 | 43 |
| 19.32 | 57 |
| 23.07 | 46 |
| 26.20 | 45 |
| 26.50 | 100 |
| 26.69 | 63 |
| 30.75 | 43 |
| 31.40 | 57 |
| 33.92 | 33 |
| 44.15 | 32 |

Atomic structure:
```
K2BiMoPO8
1.0
-3.5708 6.2894 10.0209
3.5708 -6.2894 10.0209
3.5708 6.2894 -10.0209
K Bi Mo P O
8 4 4 4 32
Direct
0.0772 0.6851 0.4512
0.2339 0.1851 0.1079
0.2661 0.3740 0.9512
0.4228 0.8740 0.6079
0.5772 0.1260 0.3921
0.7339 0.6260 0.0488
0.7661 0.8149 0.8921
0.9228 0.3149 0.5488
0.1703 0.7500 0.9203
0.3297 0.2500 0.5797
0.6703 0.7500 0.4203
0.8297 0.2500 0.0797
0.0825 0.8325 0.2500
0.4175 0.6675 0.7500
0.5825 0.3325 0.2500
0.9175 0.1675 0.7500
0.0727 0.2500 0.3227
0.4273 0.7500 0.1773
0.5727 0.2500 0.8227
0.9273 0.7500 0.6773
0.0611 0.3362 0.2741
0.0621 0.8362 0.7751
0.0802 0.1598 0.8046
0.1011 0.6787 0.0137
0.1405 0.4079 0.5692
0.1447 0.7244 0.3046
0.1613 0.0921 0.2325
0.1651 0.0875 0.4863
0.3349 0.8213 0.9224
0.3387 0.5713 0.9308
0.3553 0.6598 0.5797
0.3595 0.9287 0.2675
0.3989 0.4125 0.5776
0.4198 0.2244 0.0797
0.4379 0.2130 0.7741
0.4389 0.7130 0.2751
0.5611 0.2871 0.7249
0.5621 0.7870 0.2259
0.5802 0.7756 0.9203
0.6011 0.5875 0.4224
0.6405 0.0713 0.7325
0.6447 0.3402 0.4203
0.6613 0.4287 0.0692
0.6651 0.1787 0.0776
0.8349 0.9125 0.5137
0.8387 0.9079 0.7675
0.8553 0.2756 0.6954
0.8595 0.5921 0.4308
0.8989 0.3213 0.9863
0.9198 0.8402 0.1954
0.9379 0.1638 0.2249
0.9389 0.6638 0.7259
```